# Tb12PmDy7
Simulated powder diffraction line list, Cu Ka. Input: DFT lattice parameters and positions (GGA-PBE).

Largest 10 diffraction maxima, sorted by position, 2θ = 5–70°:
2θ = 24.0°, rel. 14; 2θ = 27.3°, rel. 20; 2θ = 29.7°, rel. 64; 2θ = 30.7°, rel. 43; 2θ = 31.8°, rel. 100; 2θ = 39.3°, rel. 32; 2θ = 42.2°, rel. 25; 2θ = 51.3°, rel. 15; 2θ = 55.4°, rel. 15; 2θ = 59.2°, rel. 14

Cell and atoms:
```
Tb12PmDy7
1.0
6.4173 3.7050 4.5651
-6.4173 3.7050 4.5651
0.0000 -7.4101 4.5651
Tb Pm Dy
12 1 7
direct
0.1463 0.4771 0.4138
0.1873 0.3178 0.7496
0.2504 0.8127 0.6822
0.3178 0.7496 0.1873
0.4138 0.1463 0.4771
0.4771 0.4138 0.1463
0.5229 0.5862 0.8537
0.5862 0.8537 0.5229
0.6822 0.2504 0.8127
0.7496 0.1873 0.3178
0.8127 0.6822 0.2504
0.8537 0.5229 0.5862
0.0000 0.0000 0.0000
0.0175 0.3515 0.0824
0.0824 0.0175 0.3515
0.3515 0.0824 0.0175
0.5000 0.5000 0.5000
0.6485 0.9176 0.9825
0.9176 0.9825 0.6485
0.9825 0.6485 0.9176
```